# 1
This entry pairs a crystal structure of LaWN3 with its computed XRD peak list. Radiation: copper Kα. Structure: a structure optimized by DFT (PBE).

The 12 most intense peaks (2θ = 10–80°), low angle first:
two_theta  d [Å]  Rel. int.
24.5  3.633  17
25.5  3.487  100
27.2  3.273  29
29.4  3.033  53
30.0  2.976  21
31.5  2.844  52
37.6  2.393  15
38.3  2.347  15
46.1  1.968  24
49.5  1.842  19
56.1  1.641  16
58.2  1.584  18

```
data_LaWN3
_chemical_formula_sum 'La8 W8 N24'
_symmetry_space_group_name_H-M 'C 1 2/c 1'
_symmetry_Int_Tables_number 15
_cell_length_a 10.9673
_cell_length_b 10.1822
_cell_length_c 6.4167
_cell_angle_alpha 90.00
_cell_angle_beta 109.00
_cell_angle_gamma 90.00
loop_
_symmetry_equiv_pos_as_xyz
'x,y,z'
'-x,-y,-z'
'-x,y,-z+1/2'
'x,-y,z+1/2'
'x+1/2,y+1/2,z'
'-x+1/2,-y+1/2,-z'
'-x+1/2,y+1/2,-z+1/2'
'x+1/2,-y+1/2,z+1/2'
loop_
_atom_site_label
_atom_site_fract_x
_atom_site_fract_y
_atom_site_fract_z
La1 0.0000 0.0938 0.2500
La2 0.0000 0.3066 0.7500
W1 0.2087 0.4119 0.2477
N1 0.1139 0.1109 0.6545
N2 0.1310 0.2573 0.1458
N3 0.1518 0.4838 0.4848
```

# 2
This entry pairs a crystal structure of CaCO3 with its computed XRD peak list. Radiation: copper Kα. Structure: a structure optimized by DFT (PBE).

The 12 most intense peaks (2θ = 10–80°), low angle first:
two_theta  d [Å]  Rel. int.
28.0  3.182  77
29.8  2.995  28
30.4  2.939  100
35.2  2.549  12
35.5  2.529  12
42.3  2.135  27
42.9  2.109  30
44.6  2.030  13
47.5  1.914  32
48.0  1.894  25
53.5  1.713  18
55.6  1.654  11

```
data_CaCO3
_chemical_formula_sum 'Ca2 C2 O6'
_symmetry_space_group_name_H-M 'P -1'
_symmetry_Int_Tables_number 2
_cell_length_a 3.8300
_cell_length_b 5.1230
_cell_length_c 6.6413
_cell_angle_alpha 95.21
_cell_angle_beta 105.69
_cell_angle_gamma 90.60
loop_
_symmetry_equiv_pos_as_xyz
'x,y,z'
'-x,-y,-z'
loop_
_atom_site_label
_atom_site_fract_x
_atom_site_fract_y
_atom_site_fract_z
Ca1 0.1086 0.3146 0.2577
C1 0.4846 0.2067 0.7543
O1 0.2236 0.7148 0.1020
O2 0.3072 0.3824 0.6389
O3 0.3806 0.9624 0.7182
```

# 3
This entry pairs a crystal structure of Cs2Si3SnO9 with its computed XRD peak list. Radiation: copper Kα. Structure: a structure optimized by DFT (PBE).

The 12 most intense peaks (2θ = 10–80°), low angle first:
two_theta  d [Å]  Rel. int.
18.5  4.808  37
20.3  4.369  58
23.9  3.723  34
24.8  3.597  67
25.1  3.547  69
26.4  3.381  100
26.5  3.365  45
28.7  3.106  78
28.8  3.095  72
31.6  2.835  37
31.7  2.824  30
43.0  2.102  43

```
data_Cs2Si3SnO9
_chemical_formula_sum 'Cs8 Si12 Sn4 O36'
_symmetry_space_group_name_H-M 'P 21 21 21'
_symmetry_Int_Tables_number 19
_cell_length_a 8.0821
_cell_length_b 10.5208
_cell_length_c 11.9414
_cell_angle_alpha 90.00
_cell_angle_beta 90.00
_cell_angle_gamma 90.00
loop_
_symmetry_equiv_pos_as_xyz
'x,y,z'
'-x+1/2,-y,z+1/2'
'x+1/2,-y+1/2,-z'
'-x,y+1/2,-z+1/2'
loop_
_atom_site_label
_atom_site_fract_x
_atom_site_fract_y
_atom_site_fract_z
Cs1 0.0745 0.1077 0.0212
Cs2 0.2334 0.2125 0.3970
Si1 0.0598 0.8733 0.2861
Si2 0.0791 0.1103 0.7083
Si3 0.0844 0.4750 0.9928
Sn1 0.2450 0.4098 0.7364
O1 0.0297 0.8840 0.4235
O2 0.0596 0.0553 0.5783
O3 0.0642 0.7237 0.2531
O4 0.0675 0.5511 0.7148
O5 0.0790 0.2646 0.7003
O6 0.0838 0.4491 0.2815
O7 0.1921 0.3880 0.9076
O8 0.1948 0.5729 0.0672
O9 0.2412 0.9417 0.2586
```

# 4
This entry pairs a crystal structure of Sr2CuS2F with its computed XRD peak list. Radiation: copper Kα. Structure: a structure optimized by DFT (PBE).

The 12 most intense peaks (2θ = 10–80°), low angle first:
two_theta  d [Å]  Rel. int.
18.9  4.702  12
20.1  4.425  100
27.7  3.222  21
28.5  3.129  41
34.4  2.605  12
40.8  2.212  15
43.6  2.076  22
45.9  1.979  21
48.4  1.879  16
50.0  1.824  9
57.2  1.611  9
61.2  1.514  15

```
data_Sr2CuS2F
_chemical_formula_sum 'Sr2 Cu1 S2 F1'
_symmetry_space_group_name_H-M 'P 4/m m m'
_symmetry_Int_Tables_number 123
_symmetry_space_group_name_Hall '-P 4 2'
_cell_length_a 4.4247
_cell_length_b 4.4247
_cell_length_c 14.1052
_cell_angle_alpha 90.00
_cell_angle_beta 90.00
_cell_angle_gamma 90.00
loop_
_atom_site_label
_atom_site_fract_x
_atom_site_fract_y
_atom_site_fract_z
Sr1 0.0000 0.0000 0.1648
Cu1 0.0000 0.0000 0.5000
S1 0.0000 0.0000 0.3533
F1 0.0000 0.0000 0.0000
```

# 5
This entry pairs a crystal structure of Mg16Al12H with its computed XRD peak list. Radiation: copper Kα. Structure: a structure optimized by DFT (PBE).

The 12 most intense peaks (2θ = 10–80°), low angle first:
two_theta  d [Å]  Rel. int.
34.2  2.623  13
36.3  2.475  100
36.4  2.466  38
40.2  2.241  25
40.4  2.233  18
40.5  2.229  7
42.1  2.144  8
43.9  2.060  17
44.1  2.055  9
65.2  1.430  14
65.3  1.428  9
65.6  1.424  7

```
data_Mg16Al12H
_chemical_formula_sum 'Mg32 Al24 H2'
_symmetry_space_group_name_H-M 'C 1 m 1'
_symmetry_Int_Tables_number 8
_cell_length_a 10.5102
_cell_length_b 14.8706
_cell_length_c 9.0602
_cell_angle_alpha 90.00
_cell_angle_beta 125.38
_cell_angle_gamma 90.00
loop_
_symmetry_equiv_pos_as_xyz
'x,y,z'
'x,-y,z'
'x+1/2,y+1/2,z'
'x+1/2,-y+1/2,z'
loop_
_atom_site_label
_atom_site_fract_x
_atom_site_fract_y
_atom_site_fract_z
Mg1 0.0000 0.0000 0.0000
Mg2 0.0059 0.2980 0.7087
Mg3 0.0262 0.0000 0.3694
Mg4 0.0835 0.3536 0.4378
Mg5 0.1765 0.1598 0.6189
Mg6 0.1957 0.1698 0.0222
Mg7 0.2081 0.5000 0.3067
Mg8 0.3197 0.2995 0.3380
Mg9 0.4493 0.0000 0.7269
Mg10 0.4813 0.1390 0.0210
Al1 0.0230 0.1903 0.2122
Al2 0.2095 0.0000 0.8314
Al3 0.2515 0.4081 0.0270
Al4 0.2879 0.0938 0.3815
Al5 0.3408 0.3146 0.8407
Al6 0.3784 0.0000 0.1967
Al7 0.4286 0.4076 0.6561
H1 0.4232 0.0000 0.9250
```

# 6
This entry pairs a crystal structure of Sm3Zn22 with its computed XRD peak list. Radiation: copper Kα. Structure: a structure optimized by DFT (PBE).

The 12 most intense peaks (2θ = 10–80°), low angle first:
two_theta  d [Å]  Rel. int.
25.7  3.465  17
28.4  3.147  15
30.9  2.897  24
34.0  2.640  18
37.0  2.428  33
38.6  2.330  91
39.7  2.271  100
40.5  2.226  71
42.4  2.132  36
44.8  2.023  24
58.0  1.589  21
73.2  1.293  24

```
data_Sm3Zn22
_chemical_formula_sum 'Sm12 Zn88'
_symmetry_space_group_name_H-M 'I 41/a m d'
_symmetry_Int_Tables_number 141
_cell_length_a 8.9024
_cell_length_b 8.9024
_cell_length_c 21.1183
_cell_angle_alpha 90.00
_cell_angle_beta 90.00
_cell_angle_gamma 90.00
loop_
_symmetry_equiv_pos_as_xyz
'x,y,z'
'-x,-y,-z'
'-y+1/4,x+3/4,z+1/4'
'y+1/4,-x+3/4,-z+1/4'
'-x+1/2,-y,z+1/2'
'x+1/2,y,-z+1/2'
'y+1/4,-x+1/4,z+3/4'
'-y+1/4,x+1/4,-z+3/4'
'x,-y,-z'
'-x,y,z'
'-y+1/4,-x+1/4,-z+3/4'
'y+1/4,x+1/4,z+3/4'
'-x+1/2,y,-z+1/2'
'x+1/2,-y,z+1/2'
'y+1/4,x+3/4,-z+1/4'
'-y+1/4,-x+3/4,z+1/4'
'x+1/2,y+1/2,z+1/2'
'-x+1/2,-y+1/2,-z+1/2'
'-y+3/4,x+1/4,z+3/4'
'y+3/4,-x+1/4,-z+3/4'
'-x,-y+1/2,z'
'x,y+1/2,-z'
'y+3/4,-x+3/4,z+1/4'
'-y+3/4,x+3/4,-z+1/4'
'x+1/2,-y+1/2,-z+1/2'
'-x+1/2,y+1/2,z+1/2'
'-y+3/4,-x+3/4,-z+1/4'
'y+3/4,x+3/4,z+1/4'
'-x,y+1/2,-z'
'x,-y+1/2,z'
'y+3/4,x+1/4,-z+3/4'
'-y+3/4,-x+1/4,z+3/4'
loop_
_atom_site_label
_atom_site_fract_x
_atom_site_fract_y
_atom_site_fract_z
Sm1 0.0000 0.2500 0.2555
Sm2 0.0000 0.2500 0.8750
Zn1 0.0000 0.0000 0.0000
Zn2 0.0000 0.0245 0.3761
Zn3 0.0000 0.0977 0.7390
Zn4 0.0000 0.1011 0.1190
Zn5 0.2343 0.0085 0.1890
```

# 7
This entry pairs a crystal structure of CeZn3 with its computed XRD peak list. Radiation: copper Kα. Structure: a structure optimized by DFT (PBE).

The 12 most intense peaks (2θ = 10–80°), low angle first:
two_theta  d [Å]  Rel. int.
34.4  2.610  87
35.5  2.531  20
35.8  2.512  100
38.0  2.368  18
39.7  2.268  47
42.9  2.109  26
44.2  2.050  21
54.3  1.689  14
56.2  1.638  14
60.9  1.521  16
69.6  1.352  17
69.7  1.349  21

```
data_CeZn3
_chemical_formula_sum 'Ce4 Zn12'
_symmetry_space_group_name_H-M 'P n m a'
_symmetry_Int_Tables_number 62
_cell_length_a 6.7262
_cell_length_b 4.5366
_cell_length_c 10.1223
_cell_angle_alpha 90.00
_cell_angle_beta 90.00
_cell_angle_gamma 90.00
loop_
_symmetry_equiv_pos_as_xyz
'x,y,z'
'-x,-y,-z'
'-x+1/2,-y,z+1/2'
'x+1/2,y,-z+1/2'
'x+1/2,-y+1/2,-z+1/2'
'-x+1/2,y+1/2,z+1/2'
'-x,y+1/2,-z'
'x,-y+1/2,z'
loop_
_atom_site_label
_atom_site_fract_x
_atom_site_fract_y
_atom_site_fract_z
Ce1 0.2203 0.2500 0.1554
Zn1 0.0373 0.7500 0.3895
Zn2 0.0815 0.2500 0.8544
Zn3 0.2197 0.7500 0.9559
```

# 8
This entry pairs a crystal structure of Y2ZnS4 with its computed XRD peak list. Radiation: copper Kα. Structure: a structure optimized by DFT (PBE).

The 12 most intense peaks (2θ = 10–80°), low angle first:
two_theta  d [Å]  Rel. int.
17.2  5.158  23
19.1  4.651  49
24.1  3.688  48
26.7  3.343  95
27.4  3.261  100
29.7  3.011  22
38.7  2.326  96
38.8  2.319  38
42.1  2.146  27
45.8  1.979  38
46.2  1.967  65
50.8  1.798  33

```
data_Y2ZnS4
_chemical_formula_sum 'Y8 Zn4 S16'
_symmetry_space_group_name_H-M 'P n m a'
_symmetry_Int_Tables_number 62
_cell_length_a 13.5987
_cell_length_b 7.9180
_cell_length_c 6.3452
_cell_angle_alpha 90.00
_cell_angle_beta 90.00
_cell_angle_gamma 90.00
loop_
_symmetry_equiv_pos_as_xyz
'x,y,z'
'-x,-y,-z'
'-x+1/2,-y,z+1/2'
'x+1/2,y,-z+1/2'
'x+1/2,-y+1/2,-z+1/2'
'-x+1/2,y+1/2,z+1/2'
'-x,y+1/2,-z'
'x,-y+1/2,z'
loop_
_atom_site_label
_atom_site_fract_x
_atom_site_fract_y
_atom_site_fract_z
Y1 0.0000 0.0000 0.0000
Y2 0.2342 0.2500 0.4972
Zn1 0.0925 0.7500 0.4110
S1 0.0687 0.2500 0.7428
S2 0.0912 0.7500 0.7746
S3 0.1676 0.5139 0.2448
```